No. 1
Diffraction record for DyYF6. The XRD peak list is computed, not measured: it uses a crystal structure in OQMD, relaxed with GGA-PBE and CuKα.
Peak positions follow from Bragg's law for the DFT cell and can differ from measured ones.

Crystal structure
```
data_DyYF6
_cell_length_a 5.6809
_cell_length_b 5.6809
_cell_length_c 3.5374
_cell_angle_alpha 90.00
_cell_angle_beta 90.00
_cell_angle_gamma 120.00
_symmetry_space_group_name_H-M 'P -6'
_symmetry_Int_Tables_number 174
loop_
_symmetry_equiv_pos_as_xyz
'x,y,z'
'-x+y,-x,-z'
'-y,x-y,z'
'x,y,-z'
'-x+y,-x,z'
'-y,x-y,-z'
loop_
_atom_site_label
_atom_site_fract_x
_atom_site_fract_y
_atom_site_fract_z
Dy1 0.0000 0.0000 0.0000
Y1 0.6667 0.3333 0.5000
F1 0.0278 0.7537 0.5000
F2 0.4198 0.0589 0.0000
```

Main lines, sorted by position (2θ = 5–70°):
| Position (°2θ) | intensity |
| --- | --- |
| 18.0 | 100 |
| 31.1 | 82 |
| 31.5 | 48 |
| 36.5 | 15 |
| 40.7 | 13 |
| 44.9 | 60 |
| 51.7 | 12 |
| 55.9 | 51 |
| 56.1 | 19 |
| 61.8 | 15 |

***

No. 2
Diffraction record for Dy2ZnF6. The XRD peak list is computed, not measured: it uses a crystal structure in OQMD, relaxed with GGA-PBE and CuKα.
Peak positions follow from Bragg's law for the DFT cell and can differ from measured ones.

Crystal structure
```
data_Dy2ZnF6
_cell_length_a 7.5502
_cell_length_b 7.5502
_cell_length_c 7.5502
_cell_angle_alpha 90.00
_cell_angle_beta 90.00
_cell_angle_gamma 90.00
_symmetry_space_group_name_H-M 'F m -3 m'
_symmetry_Int_Tables_number 225
_symmetry_space_group_name_Hall '-F 4 2 3'
loop_
_atom_site_label
_atom_site_fract_x
_atom_site_fract_y
_atom_site_fract_z
Dy1 0.2500 0.2500 0.2500
Zn1 0.0000 0.0000 0.0000
F1 0.0000 0.0000 0.2602
```

Main lines, sorted by position (2θ = 5–70°):
| Position (°2θ) | intensity |
| --- | --- |
| 20.4 | 8 |
| 23.6 | 42 |
| 33.6 | 100 |
| 39.6 | 6 |
| 41.4 | 40 |
| 48.2 | 36 |
| 52.9 | 3 |
| 54.3 | 19 |
| 60.0 | 39 |
| 64.1 | 1 |

***

No. 3
Diffraction record for GdDyFe2Ge2. The XRD peak list is computed, not measured: it uses a crystal structure in OQMD, relaxed with GGA-PBE and CuKα.
Peak positions follow from Bragg's law for the DFT cell and can differ from measured ones.

Crystal structure
```
data_GdDyFe2Ge2
_cell_length_a 4.1137
_cell_length_b 4.1137
_cell_length_c 6.5458
_cell_angle_alpha 90.00
_cell_angle_beta 90.00
_cell_angle_gamma 90.00
_symmetry_space_group_name_H-M 'P 4 m m'
_symmetry_Int_Tables_number 99
loop_
_symmetry_equiv_pos_as_xyz
'x,y,z'
'-y,x,z'
'-x,-y,z'
'y,-x,z'
'-x,y,z'
'y,x,z'
'x,-y,z'
'-y,-x,z'
loop_
_atom_site_label
_atom_site_fract_x
_atom_site_fract_y
_atom_site_fract_z
Gd1 0.0000 0.0000 0.0000
Dy1 0.5000 0.5000 0.6205
Fe1 0.0000 0.5000 0.3136
Ge1 0.0000 0.0000 0.5075
Ge2 0.5000 0.5000 0.1193
```

Main lines, sorted by position (2θ = 5–70°):
| Position (°2θ) | intensity |
| --- | --- |
| 25.6 | 38 |
| 27.2 | 18 |
| 30.7 | 64 |
| 33.7 | 28 |
| 35.0 | 74 |
| 41.5 | 100 |
| 44.0 | 67 |
| 57.5 | 36 |
| 60.9 | 32 |
| 64.0 | 22 |

***

No. 4
Diffraction record for Gd2DyFe6Ni3. The XRD peak list is computed, not measured: it uses a crystal structure in OQMD, relaxed with GGA-PBE and CuKα.
Peak positions follow from Bragg's law for the DFT cell and can differ from measured ones.

Crystal structure
```
data_Gd2DyFe6Ni3
_cell_length_a 4.9947
_cell_length_b 4.9947
_cell_length_c 24.8937
_cell_angle_alpha 90.00
_cell_angle_beta 90.00
_cell_angle_gamma 120.00
_symmetry_space_group_name_H-M 'R -3 m'
_symmetry_Int_Tables_number 166
_symmetry_space_group_name_Hall '-R 3 2"'
loop_
_atom_site_label
_atom_site_fract_x
_atom_site_fract_y
_atom_site_fract_z
Gd1 0.0000 0.0000 0.1416
Dy1 0.0000 0.0000 0.0000
Fe1 0.9998 0.4999 0.0812
Ni1 0.0000 0.0000 0.3330
Ni2 0.0000 0.0000 0.5000
```

Main lines, sorted by position (2θ = 5–70°):
| Position (°2θ) | intensity |
| --- | --- |
| 32.6 | 48 |
| 35.5 | 36 |
| 36.0 | 55 |
| 41.9 | 37 |
| 42.2 | 100 |
| 43.6 | 13 |
| 62.5 | 15 |
| 64.4 | 13 |
| 68.3 | 13 |
| 68.9 | 22 |

***

No. 5
Diffraction record for GdDy2Fe3Ni6. The XRD peak list is computed, not measured: it uses a crystal structure in OQMD, relaxed with GGA-PBE and CuKα.
Peak positions follow from Bragg's law for the DFT cell and can differ from measured ones.

Crystal structure
```
data_GdDy2Fe3Ni6
_cell_length_a 5.0428
_cell_length_b 5.0428
_cell_length_c 24.0404
_cell_angle_alpha 90.00
_cell_angle_beta 90.00
_cell_angle_gamma 120.00
_symmetry_space_group_name_H-M 'R -3 m'
_symmetry_Int_Tables_number 166
_symmetry_space_group_name_Hall '-R 3 2"'
loop_
_atom_site_label
_atom_site_fract_x
_atom_site_fract_y
_atom_site_fract_z
Gd1 0.0000 0.0000 0.0000
Dy1 0.0000 0.0000 0.1390
Fe1 0.0000 0.0000 0.3332
Fe2 0.0000 0.0000 0.5000
Ni1 0.0007 0.5004 0.9172
```

Main lines, sorted by position (2θ = 5–70°):
| Position (°2θ) | intensity |
| --- | --- |
| 33.2 | 55 |
| 35.6 | 57 |
| 36.3 | 44 |
| 41.5 | 46 |
| 42.4 | 100 |
| 45.6 | 17 |
| 46.5 | 15 |
| 62.4 | 18 |
| 64.4 | 16 |
| 68.6 | 23 |

***

No. 6
Diffraction record for GdDy2Fe4Si4. The XRD peak list is computed, not measured: it uses a crystal structure in OQMD, relaxed with GGA-PBE and CuKα.
Peak positions follow from Bragg's law for the DFT cell and can differ from measured ones.

Crystal structure
```
data_GdDy2Fe4Si4
_cell_length_a 3.9167
_cell_length_b 3.9984
_cell_length_c 23.4742
_cell_angle_alpha 90.00
_cell_angle_beta 90.00
_cell_angle_gamma 90.00
_symmetry_space_group_name_H-M 'I m m m'
_symmetry_Int_Tables_number 71
_symmetry_space_group_name_Hall '-I 2 2'
loop_
_atom_site_label
_atom_site_fract_x
_atom_site_fract_y
_atom_site_fract_z
Gd1 0.0000 0.0000 0.0000
Dy1 0.0000 0.5000 0.1496
Fe1 0.0000 0.0000 0.2504
Fe2 0.0000 0.5000 0.4009
Si1 0.0000 0.0000 0.4483
Si2 0.0000 0.5000 0.2999
```

Main lines, sorted by position (2θ = 5–70°):
| Position (°2θ) | intensity |
| --- | --- |
| 25.0 | 37 |
| 35.2 | 45 |
| 35.5 | 100 |
| 41.3 | 21 |
| 45.4 | 22 |
| 46.4 | 23 |
| 48.3 | 14 |
| 58.7 | 20 |
| 63.8 | 11 |
| 66.9 | 15 |